Record 1
# Cu5Sn2Te7
Computed powder diffractogram, copper Kα. Input: a DFT-relaxed cell (GGA-PBE, the Materials Project).
Kinematic intensities with the Lorentz-polarization factor, no thermal factor.

Structure:
Lattice parameters (Å, degrees): 7.4949 7.4949 9.7118 97.47 97.47 48.24
Fractional coordinates of all 14 atoms:
Cu1 0.0000 0.0000 0.0000
Cu2 0.1380 0.1529 0.4270
Cu3 0.2839 0.2878 0.8582
Cu4 0.7122 0.7161 0.1418
Cu5 0.8471 0.8620 0.5730
Sn1 0.4353 0.4166 0.2763
Sn2 0.5834 0.5647 0.7237
Te1 0.0806 0.6220 0.0543
Te2 0.2137 0.7863 0.5000
Te3 0.3780 0.9194 0.9457
Te4 0.5431 0.0057 0.3618
Te5 0.6852 0.1482 0.7926
Te6 0.8518 0.3148 0.2074
Te7 0.9943 0.4569 0.6382

The 12 most intense peaks (2θ from 15° to 90°), sorted by position:
25.17 deg, intensity 100
41.69 deg, intensity 72
49.24 deg, intensity 15
49.36 deg, intensity 29
60.28 deg, intensity 4
60.45 deg, intensity 4
60.52 deg, intensity 4
66.44 deg, intensity 8
66.57 deg, intensity 8
75.94 deg, intensity 4
76.09 deg, intensity 13
81.70 deg, intensity 5

---

Record 2
# BaH2S5O6
Computed powder diffractogram, copper Kα. Input: a DFT-relaxed cell (GGA-PBE, the Materials Project).
Kinematic intensities with the Lorentz-polarization factor, no thermal factor.

Structure:
Lattice parameters (Å, degrees): 5.4084 10.2617 22.3505 90.00 90.00 90.00
Fractional coordinates of all 56 atoms:
Ba1 0.2067 0.2500 0.0494
Ba2 0.2933 0.7500 0.5494
Ba3 0.7067 0.2500 0.4506
Ba4 0.7933 0.7500 0.9506
H1 0.1412 0.7500 0.6777
H2 0.2040 0.2500 0.5095
H3 0.2960 0.7500 0.0095
H4 0.3588 0.2500 0.1777
H5 0.6412 0.7500 0.8223
H6 0.7040 0.2500 0.9905
H7 0.7960 0.7500 0.4905
H8 0.8588 0.2500 0.3223
S1 0.0116 0.2500 0.6814
S2 0.1931 0.5113 0.4085
S3 0.1931 0.9887 0.4085
S4 0.2062 0.5869 0.3190
S5 0.2062 0.9131 0.3190
S6 0.2938 0.0869 0.8190
S7 0.2938 0.4131 0.8190
S8 0.3069 0.0113 0.9085
S9 0.3069 0.4887 0.9085
S10 0.4884 0.7500 0.1814
S11 0.5116 0.2500 0.8186
S12 0.6931 0.5113 0.0915
S13 0.6931 0.9887 0.0915
S14 0.7062 0.5869 0.1810
S15 0.7062 0.9131 0.1810
S16 0.7938 0.0869 0.6810
S17 0.7938 0.4131 0.6810
S18 0.8069 0.0113 0.5915
S19 0.8069 0.4887 0.5915
S20 0.9884 0.7500 0.3186
O1 0.0688 0.5116 0.5768
O2 0.0688 0.9884 0.5768
O3 0.1687 0.6111 0.8995
O4 0.1687 0.8889 0.8995
O5 0.1843 0.1037 0.9488
O6 0.1843 0.3963 0.9488
O7 0.3157 0.6037 0.4488
O8 0.3157 0.8963 0.4488
O9 0.3313 0.1111 0.3995
O10 0.3313 0.3889 0.3995
O11 0.4312 0.0116 0.0768
O12 0.4312 0.4884 0.0768
O13 0.5688 0.5116 0.9232
O14 0.5688 0.9884 0.9232
O15 0.6687 0.6111 0.6005
O16 0.6687 0.8889 0.6005
O17 0.6843 0.1037 0.5512
O18 0.6843 0.3963 0.5512
O19 0.8157 0.6037 0.0512
O20 0.8157 0.8963 0.0512
O21 0.8313 0.1111 0.1005
O22 0.8313 0.3889 0.1005
O23 0.9312 0.0116 0.4232
O24 0.9312 0.4884 0.4232

The 12 most intense peaks (2θ from 15° to 90°), sorted by position:
18.22 deg, intensity 15
18.97 deg, intensity 100
21.69 deg, intensity 38
23.54 deg, intensity 16
25.22 deg, intensity 60
28.82 deg, intensity 30
32.03 deg, intensity 21
33.24 deg, intensity 15
34.07 deg, intensity 23
38.53 deg, intensity 24
40.96 deg, intensity 23
51.72 deg, intensity 16

---

Record 3
# Al2Si2O11
Computed powder diffractogram, copper Kα. Input: a DFT-relaxed cell (GGA-PBE, the Materials Project).
Kinematic intensities with the Lorentz-polarization factor, no thermal factor.

Structure:
Lattice parameters (Å, degrees): 6.4073 6.4073 11.5680 90.95 90.95 135.02
Fractional coordinates of all 15 atoms:
Al1 0.2492 0.7508 0.0000
Al2 0.7508 0.2492 0.0000
Si1 0.1848 0.6862 0.3318
Si2 0.6862 0.1848 0.3318
O1 0.0028 0.3568 0.2635
O2 0.0098 0.0098 0.6693
O3 0.0685 0.4164 0.9195
O4 0.2217 0.2217 0.0834
O5 0.2780 0.2780 0.9831
O6 0.3568 0.0028 0.2635
O7 0.4164 0.0685 0.9195
O8 0.5133 0.8708 0.4013
O9 0.5884 0.9235 0.0682
O10 0.8708 0.5133 0.4013
O11 0.9235 0.5884 0.0682

The 12 most intense peaks (2θ from 15° to 90°), sorted by position:
15.33 deg, intensity 57
16.83 deg, intensity 100
20.79 deg, intensity 18
21.49 deg, intensity 71
23.09 deg, intensity 82
27.63 deg, intensity 31
30.19 deg, intensity 18
33.39 deg, intensity 14
36.92 deg, intensity 30
37.94 deg, intensity 24
38.35 deg, intensity 23
60.23 deg, intensity 15

---

Record 4
# Li3CuF6
Computed powder diffractogram, copper Kα. Input: a DFT-relaxed cell (GGA-PBE, the Materials Project).
Kinematic intensities with the Lorentz-polarization factor, no thermal factor.

Structure:
Lattice parameters (Å, degrees): 5.0364 5.2045 9.0445 90.00 123.34 90.00
Fractional coordinates of all 20 atoms:
Li1 0.0000 0.0000 0.0000
Li2 0.0000 0.5000 0.5000
Li3 0.2342 0.0464 0.7426
Li4 0.2342 0.4536 0.2426
Li5 0.7658 0.5464 0.7574
Li6 0.7658 0.9536 0.2574
Cu1 0.5000 0.0000 0.5000
Cu2 0.5000 0.5000 0.0000
F1 0.1190 0.1790 0.4374
F2 0.1190 0.3210 0.9374
F3 0.2501 0.6905 0.4209
F4 0.2501 0.8095 0.9209
F5 0.4020 0.0736 0.2642
F6 0.4020 0.4264 0.7642
F7 0.5980 0.5736 0.2358
F8 0.5980 0.9264 0.7358
F9 0.7499 0.1905 0.0791
F10 0.7499 0.3095 0.5791
F11 0.8810 0.6790 0.0626
F12 0.8810 0.8210 0.5626

The 12 most intense peaks (2θ from 15° to 90°), sorted by position:
20.72 deg, intensity 100
21.11 deg, intensity 42
21.29 deg, intensity 43
23.55 deg, intensity 41
24.60 deg, intensity 72
34.20 deg, intensity 18
34.44 deg, intensity 20
39.76 deg, intensity 32
40.17 deg, intensity 39
40.78 deg, intensity 36
41.50 deg, intensity 36
50.43 deg, intensity 22

---

Record 5
# RbHSO4
Computed powder diffractogram, copper Kα. Input: a DFT-relaxed cell (GGA-PBE, the Materials Project).
Kinematic intensities with the Lorentz-polarization factor, no thermal factor.

Structure:
Lattice parameters (Å, degrees): 14.6873 4.6546 15.1777 90.00 120.77 90.00
Fractional coordinates of all 56 atoms:
Rb1 0.0000 0.0209 0.0000
Rb2 0.0000 0.9791 0.5000
Rb3 0.2539 0.4100 0.4209
Rb4 0.2539 0.5900 0.9209
Rb5 0.4995 0.1348 0.2505
Rb6 0.4995 0.8652 0.7505
Rb7 0.7500 0.4267 0.6713
Rb8 0.7500 0.5733 0.1713
H1 0.2475 0.0311 0.7227
H2 0.2475 0.9689 0.2227
H3 0.5085 0.4142 0.9434
H4 0.5085 0.5858 0.4434
H5 0.7522 0.0359 0.9746
H6 0.7522 0.9641 0.4746
H7 0.9991 0.4314 0.6986
H8 0.9991 0.5686 0.1986
S1 0.0033 0.0074 0.2572
S2 0.0033 0.9926 0.7572
S3 0.2534 0.4574 0.6660
S4 0.2534 0.5426 0.1660
S5 0.5021 0.0257 0.0131
S6 0.5021 0.9743 0.5131
S7 0.7476 0.4680 0.9141
S8 0.7476 0.5320 0.4141
O1 0.0394 0.2448 0.2174
O2 0.0394 0.7552 0.7174
O3 0.0900 0.1151 0.8525
O4 0.0900 0.8849 0.3525
O5 0.1576 0.4979 0.0659
O6 0.1576 0.5021 0.5659
O7 0.2238 0.2342 0.7270
O8 0.2238 0.7658 0.2270
O9 0.2858 0.2850 0.2325
O10 0.2858 0.7150 0.7325
O11 0.3413 0.3348 0.6587
O12 0.3413 0.6652 0.1587
O13 0.4060 0.1130 0.0128
O14 0.4060 0.8870 0.5128
O15 0.4972 0.2697 0.4776
O16 0.4972 0.7303 0.9776
O17 0.5074 0.2056 0.9260
O18 0.5074 0.7944 0.4260
O19 0.5987 0.0905 0.1109
O20 0.5987 0.9095 0.6109
O21 0.6612 0.3435 0.8192
O22 0.6612 0.6565 0.3192
O23 0.7121 0.2846 0.4502
O24 0.7121 0.7154 0.9502
O25 0.7819 0.2353 0.0028
O26 0.7819 0.7647 0.5028
O27 0.8427 0.4689 0.4091
O28 0.8427 0.5311 0.9091
O29 0.9100 0.0841 0.2634
O30 0.9100 0.9159 0.7634
O31 0.9643 0.2361 0.6708
O32 0.9643 0.7639 0.1708

The 12 most intense peaks (2θ from 15° to 90°), sorted by position:
22.60 deg, intensity 11
23.45 deg, intensity 48
23.75 deg, intensity 100
26.70 deg, intensity 12
27.35 deg, intensity 15
27.50 deg, intensity 14
28.29 deg, intensity 35
33.56 deg, intensity 27
33.68 deg, intensity 27
36.28 deg, intensity 14
39.33 deg, intensity 13
49.46 deg, intensity 12

---

Record 6
# Ba2TaBiO6
Computed powder diffractogram, copper Kα. Input: a DFT-relaxed cell (GGA-PBE, the Materials Project).
Kinematic intensities with the Lorentz-polarization factor, no thermal factor.

Structure:
Lattice parameters (Å, degrees): 6.0973 6.0973 6.0973 60.59 60.59 60.59
Fractional coordinates of all 10 atoms:
Ba1 0.2488 0.2488 0.2488
Ba2 0.7512 0.7512 0.7512
Ta1 0.0000 0.0000 0.0000
Bi1 0.5000 0.5000 0.5000
O1 0.1780 0.7745 0.2811
O2 0.2255 0.7189 0.8220
O3 0.2811 0.1780 0.7745
O4 0.7189 0.8220 0.2255
O5 0.7745 0.2811 0.1780
O6 0.8220 0.2255 0.7189

The 12 most intense peaks (2θ from 15° to 90°), sorted by position:
20.51 deg, intensity 14
29.03 deg, intensity 100
29.30 deg, intensity 100
41.72 deg, intensity 53
51.46 deg, intensity 23
51.63 deg, intensity 43
52.12 deg, intensity 20
60.17 deg, intensity 16
60.77 deg, intensity 17
68.32 deg, intensity 19
68.73 deg, intensity 19
83.21 deg, intensity 12

---

Record 7
# ZrCu
Computed powder diffractogram, copper Kα. Input: a DFT-relaxed cell (GGA-PBE, the Materials Project).
Kinematic intensities with the Lorentz-polarization factor, no thermal factor.

Structure:
Lattice parameters (Å, degrees): 5.3261 5.3261 5.2821 97.64 97.64 103.64
Fractional coordinates of all 8 atoms:
Zr1 0.0000 0.0000 0.0000
Zr2 0.4116 0.8413 0.6263
Zr3 0.4995 0.4995 0.0546
Zr4 0.8413 0.4116 0.6263
Cu1 0.0371 0.5374 0.1808
Cu2 0.2917 0.2917 0.4917
Cu3 0.5374 0.0371 0.1808
Cu4 0.8897 0.8897 0.4651

The 12 most intense peaks (2θ from 15° to 90°), sorted by position:
34.78 deg, intensity 40
35.19 deg, intensity 63
35.95 deg, intensity 43
36.55 deg, intensity 100
39.83 deg, intensity 26
41.10 deg, intensity 76
42.12 deg, intensity 53
43.22 deg, intensity 51
45.56 deg, intensity 23
56.15 deg, intensity 19
57.43 deg, intensity 15
67.01 deg, intensity 15

---

Record 8
# KPuCO5
Computed powder diffractogram, copper Kα. Input: a DFT-relaxed cell (GGA-PBE, the Materials Project).
Kinematic intensities with the Lorentz-polarization factor, no thermal factor.

Structure:
Lattice parameters (Å, degrees): 5.1329 5.1329 10.5630 90.00 90.00 120.00
Fractional coordinates of all 16 atoms:
K1 0.0000 0.0000 0.0000
K2 0.0000 0.0000 0.5000
Pu1 0.3333 0.6667 0.2500
Pu2 0.6667 0.3333 0.7500
C1 0.3333 0.6667 0.7500
C2 0.6667 0.3333 0.2500
O1 0.1876 0.3753 0.7500
O2 0.1876 0.8124 0.7500
O3 0.3333 0.6667 0.0770
O4 0.3333 0.6667 0.4230
O5 0.3753 0.1876 0.2500
O6 0.6247 0.8124 0.7500
O7 0.6667 0.3333 0.5770
O8 0.6667 0.3333 0.9230
O9 0.8124 0.1876 0.2500
O10 0.8124 0.6247 0.2500

The 12 most intense peaks (2θ from 15° to 90°), sorted by position:
16.79 deg, intensity 50
19.97 deg, intensity 17
21.69 deg, intensity 100
26.20 deg, intensity 44
32.44 deg, intensity 22
33.95 deg, intensity 17
34.96 deg, intensity 41
39.02 deg, intensity 20
41.52 deg, intensity 34
48.43 deg, intensity 15
49.53 deg, intensity 23
55.37 deg, intensity 20

---

Question: Number 3 is which compound?
Answer: Al2Si2O11

---

What did the first record say?
# Cu5Sn2Te7
Computed powder diffractogram, copper Kα. Input: a DFT-relaxed cell (GGA-PBE, the Materials Project).
Kinematic intensities with the Lorentz-polarization factor, no thermal factor.

Structure:
Lattice parameters (Å, degrees): 7.4949 7.4949 9.7118 97.47 97.47 48.24
Fractional coordinates of all 14 atoms:
Cu1 0.0000 0.0000 0.0000
Cu2 0.1380 0.1529 0.4270
Cu3 0.2839 0.2878 0.8582
Cu4 0.7122 0.7161 0.1418
Cu5 0.8471 0.8620 0.5730
Sn1 0.4353 0.4166 0.2763
Sn2 0.5834 0.5647 0.7237
Te1 0.0806 0.6220 0.0543
Te2 0.2137 0.7863 0.5000
Te3 0.3780 0.9194 0.9457
Te4 0.5431 0.0057 0.3618
Te5 0.6852 0.1482 0.7926
Te6 0.8518 0.3148 0.2074
Te7 0.9943 0.4569 0.6382

The 12 most intense peaks (2θ from 15° to 90°), sorted by position:
25.17 deg, intensity 100
41.69 deg, intensity 72
49.24 deg, intensity 15
49.36 deg, intensity 29
60.28 deg, intensity 4
60.45 deg, intensity 4
60.52 deg, intensity 4
66.44 deg, intensity 8
66.57 deg, intensity 8
75.94 deg, intensity 4
76.09 deg, intensity 13
81.70 deg, intensity 5